1.
Computed X-ray diffraction stick pattern
Compound: CsScAs2H2O8
Radiation: copper Kα
Structure: the PBE geometry in the Materials Project
Kinematic intensities with the Lorentz-polarization factor, no thermal factor.

Main lines, in order of rising 2θ (10 to 80 degrees two-theta):
2θ = 23.05°, rel. 43.2
2θ = 24.84°, rel. 32.4
2θ = 26.12°, rel. 90.9
2θ = 27.44°, rel. 100.0
2θ = 27.85°, rel. 65.4
2θ = 29.98°, rel. 40.8

Structural model:
```
CsScAs2H2O8
1.0
7.736 0.000 0.000
3.270 8.948 0.000
3.409 3.344 9.108
Cs Sc As H O
3 3 6 6 24
Direct
0.000 0.000 0.000
0.131 0.169 0.525
0.869 0.831 0.475
0.297 0.279 0.057
0.500 0.500 0.500
0.703 0.721 0.943
0.054 0.446 0.780
0.412 0.649 0.783
0.421 0.876 0.230
0.579 0.124 0.770
0.588 0.351 0.217
0.946 0.554 0.220
0.111 0.738 0.744
0.210 0.561 0.282
0.424 0.959 0.773
0.576 0.041 0.227
0.790 0.439 0.718
0.889 0.262 0.256
0.062 0.366 0.216
0.087 0.635 0.261
0.105 0.306 0.941
0.213 0.794 0.719
0.244 0.464 0.637
0.249 0.050 0.205
0.327 0.510 0.939
0.351 0.734 0.390
0.385 0.078 0.751
0.433 0.424 0.350
0.479 0.817 0.083
0.485 0.235 0.190
0.515 0.765 0.810
0.521 0.183 0.917
0.567 0.576 0.650
0.615 0.922 0.249
0.649 0.266 0.610
0.673 0.490 0.061
0.751 0.950 0.795
0.756 0.536 0.363
0.787 0.206 0.281
0.895 0.694 0.059
0.913 0.365 0.739
0.938 0.634 0.784
```


2.
Computed X-ray diffraction stick pattern
Compound: Li3Cu2S3O12
Radiation: copper Kα
Structure: the PBE geometry in the Materials Project
Kinematic intensities with the Lorentz-polarization factor, no thermal factor.

Main lines, in order of rising 2θ (10 to 80 degrees two-theta):
2θ = 14.17°, rel. 68.6
2θ = 19.48°, rel. 65.0
2θ = 23.73°, rel. 100.0
2θ = 28.56°, rel. 43.0
2θ = 31.23°, rel. 95.7
2θ = 36.22°, rel. 32.0

Structural model:
```
Li3Cu2S3O12
1.0
4.296 2.480 7.683
-4.296 2.480 7.683
0.000 -4.961 7.683
Li Cu S O
6 4 6 24
Direct
0.158 0.772 0.422
0.228 0.578 0.842
0.422 0.158 0.772
0.578 0.842 0.228
0.772 0.422 0.158
0.842 0.228 0.578
0.156 0.156 0.156
0.352 0.352 0.352
0.648 0.648 0.648
0.844 0.844 0.844
0.047 0.454 0.750
0.250 0.953 0.546
0.454 0.750 0.047
0.546 0.250 0.953
0.750 0.047 0.454
0.953 0.546 0.250
0.005 0.345 0.957
0.043 0.995 0.655
0.051 0.640 0.704
0.094 0.513 0.305
0.242 0.351 0.643
0.296 0.949 0.360
0.305 0.094 0.513
0.345 0.957 0.005
0.351 0.643 0.242
0.357 0.758 0.649
0.360 0.296 0.949
0.487 0.695 0.906
0.513 0.305 0.094
0.640 0.704 0.051
0.643 0.242 0.351
0.649 0.357 0.758
0.655 0.043 0.995
0.695 0.906 0.487
0.704 0.051 0.640
0.758 0.649 0.357
0.906 0.487 0.695
0.949 0.360 0.296
0.957 0.005 0.345
0.995 0.655 0.043
```


3.
Computed X-ray diffraction stick pattern
Compound: NaZn2H3S2O8
Radiation: copper Kα
Structure: the PBE geometry in the Materials Project
Kinematic intensities with the Lorentz-polarization factor, no thermal factor.

Main lines, in order of rising 2θ (10 to 80 degrees two-theta):
2θ = 12.83°, rel. 100.0
2θ = 19.68°, rel. 27.2
2θ = 27.84°, rel. 29.4
2θ = 31.41°, rel. 22.5
2θ = 31.57°, rel. 34.8
2θ = 31.69°, rel. 16.6

Structural model:
```
NaZn2H3S2O8
1.0
6.383 0.000 0.000
-3.008 7.341 0.000
-3.015 -2.890 7.972
Na Zn H S O
2 4 6 4 16
Direct
0.064 0.174 0.410
0.936 0.826 0.590
0.000 0.000 0.000
0.313 0.827 0.306
0.500 0.000 0.000
0.687 0.173 0.694
0.050 0.558 0.770
0.111 0.720 0.993
0.203 0.447 0.229
0.797 0.553 0.771
0.889 0.280 0.007
0.950 0.442 0.230
0.259 0.254 0.797
0.435 0.700 0.653
0.565 0.300 0.347
0.741 0.746 0.203
0.010 0.825 0.345
0.091 0.508 0.201
0.211 0.856 0.069
0.228 0.079 0.865
0.293 0.255 0.234
0.318 0.743 0.771
0.404 0.244 0.693
0.471 0.863 0.574
0.529 0.137 0.426
0.596 0.756 0.307
0.682 0.257 0.229
0.707 0.745 0.766
0.772 0.921 0.135
0.789 0.144 0.931
0.909 0.492 0.799
0.990 0.175 0.655
```


4.
Computed X-ray diffraction stick pattern
Compound: CeGaAg
Radiation: copper Kα
Structure: the PBE geometry in the Materials Project
Kinematic intensities with the Lorentz-polarization factor, no thermal factor.

Main lines, in order of rising 2θ (10 to 80 degrees two-theta):
2θ = 32.20°, rel. 51.8
2θ = 32.74°, rel. 100.0
2θ = 33.22°, rel. 36.9
2θ = 37.91°, rel. 26.9
2θ = 38.45°, rel. 47.5
2θ = 39.69°, rel. 55.2

Structural model:
```
CeGaAg
1.0
4.683 0.000 0.000
0.000 7.791 0.000
0.000 0.000 7.476
Ce Ga Ag
4 4 4
Direct
0.250 0.203 0.000
0.250 0.296 0.507
0.750 0.704 0.507
0.750 0.797 0.000
0.250 0.584 0.213
0.250 0.916 0.295
0.750 0.084 0.295
0.750 0.416 0.213
0.250 0.590 0.830
0.250 0.910 0.677
0.750 0.090 0.677
0.750 0.410 0.830
```


5.
Computed X-ray diffraction stick pattern
Compound: ErAlPt
Radiation: copper Kα
Structure: the PBE geometry in the Materials Project
Kinematic intensities with the Lorentz-polarization factor, no thermal factor.

Main lines, in order of rising 2θ (10 to 80 degrees two-theta):
2θ = 26.61°, rel. 74.7
2θ = 33.52°, rel. 35.4
2θ = 35.16°, rel. 100.0
2θ = 40.63°, rel. 24.4
2θ = 40.77°, rel. 31.1
2θ = 46.32°, rel. 22.9

Structural model:
```
ErAlPt
1.0
6.834 0.000 0.000
0.000 4.427 0.000
0.000 0.000 7.700
Er Al Pt
4 4 4
Direct
0.026 0.250 0.184
0.474 0.750 0.684
0.526 0.250 0.316
0.974 0.750 0.816
0.151 0.250 0.565
0.349 0.750 0.065
0.651 0.250 0.935
0.849 0.750 0.435
0.227 0.750 0.388
0.273 0.250 0.888
0.727 0.750 0.112
0.773 0.250 0.612
```


6.
Computed X-ray diffraction stick pattern
Compound: KMo3S3
Radiation: copper Kα
Structure: the PBE geometry in the Materials Project
Kinematic intensities with the Lorentz-polarization factor, no thermal factor.

Main lines, in order of rising 2θ (10 to 80 degrees two-theta):
2θ = 10.65°, rel. 100.0
2θ = 28.43°, rel. 7.5
2θ = 34.91°, rel. 9.1
2θ = 42.78°, rel. 14.7
2θ = 44.22°, rel. 15.6
2θ = 52.17°, rel. 7.7

Structural model:
```
KMo3S3
1.0
9.592 0.000 0.000
-4.796 8.307 0.000
0.000 0.000 4.476
K Mo S
2 6 6
Direct
0.333 0.667 0.250
0.667 0.333 0.750
0.023 0.171 0.750
0.149 0.977 0.750
0.171 0.149 0.250
0.829 0.851 0.750
0.851 0.023 0.250
0.977 0.829 0.250
0.041 0.319 0.250
0.277 0.959 0.250
0.319 0.277 0.750
0.681 0.723 0.250
0.723 0.041 0.750
0.959 0.681 0.750
```


7.
Computed X-ray diffraction stick pattern
Compound: SrRuO3
Radiation: copper Kα
Structure: the PBE geometry in the Materials Project
Kinematic intensities with the Lorentz-polarization factor, no thermal factor.

Main lines, in order of rising 2θ (10 to 80 degrees two-theta):
2θ = 24.29°, rel. 100.0
2θ = 27.10°, rel. 75.0
2θ = 36.71°, rel. 68.4
2θ = 44.59°, rel. 20.2
2θ = 49.76°, rel. 25.0
2θ = 57.57°, rel. 31.0

Structural model:
```
SrRuO3
1.0
5.199 0.000 0.000
0.000 13.160 0.000
0.000 0.000 5.167
Sr Ru O
4 4 12
Direct
0.021 0.250 0.001
0.479 0.750 0.501
0.521 0.250 0.499
0.979 0.750 0.999
0.000 0.000 0.000
0.000 0.500 0.000
0.500 0.000 0.500
0.500 0.500 0.500
0.017 0.250 0.503
0.250 0.011 0.249
0.250 0.489 0.249
0.250 0.511 0.749
0.250 0.989 0.749
0.483 0.750 0.003
0.517 0.250 0.997
0.750 0.011 0.251
0.750 0.489 0.251
0.750 0.511 0.751
0.750 0.989 0.751
0.983 0.750 0.497
```


8.
Computed X-ray diffraction stick pattern
Compound: TlCuO2
Radiation: copper Kα
Structure: the PBE geometry in the Materials Project
Kinematic intensities with the Lorentz-polarization factor, no thermal factor.

Main lines, in order of rising 2θ (10 to 80 degrees two-theta):
2θ = 14.99°, rel. 48.1
2θ = 30.25°, rel. 26.8
2θ = 30.89°, rel. 100.0
2θ = 35.63°, rel. 51.2
2θ = 50.86°, rel. 25.5
2θ = 51.69°, rel. 27.1

Structural model:
```
TlCuO2
1.0
1.768 1.021 5.909
-1.768 1.021 5.909
0.000 -2.042 5.909
Tl Cu O
1 1 2
Direct
0.000 0.000 0.000
0.500 0.500 0.500
0.397 0.397 0.397
0.603 0.603 0.603
```